Structure and simulated XRD peak list of RbTlVF6 (a crystal structure in Alexandria, relaxed with PBE+U; Cu Kα, 1.54184 Å).
Intensities are scaled so that the largest is 100.

Top 10 peaks for 2θ from 10° to 90°, by intensity:
h k l, two_theta, d [Å], I/Imax
1 1 1, 24.93, 3.572, 100
1 2 0, 39.14, 2.301, 29
1 0 2, 39.01, 2.309, 24
0 0 1, 16.97, 5.225, 18
0 1 -1, 29.56, 3.022, 18
0 1 2, 29.67, 3.011, 18
0 2 1, 29.78, 3.001, 18
2 1 0, 40.66, 2.219, 17
-1 2 2, 39.29, 2.293, 15
2 0 0, 36.68, 2.450, 11

Structural model:
Cell lengths 4.9007, 6.0011, 6.0218 Å; angles 60.36, 89.87, 89.90 degrees
Space group P1 (No. 1)
Symmetry-distinct sites (fractional):
Rb (0.0000, 0.0000, 0.0000)
Tl (0.4115, 0.3359, 0.3246)
V (0.6947, 0.6677, 0.6626)
F (0.4772, 0.8219, 0.8057)
F (0.4820, 0.3665, 0.8061)
F (0.4859, 0.8192, 0.3546)
F (0.9025, 0.5158, 0.9707)
F (0.9065, 0.9686, 0.5190)
F (0.9116, 0.5139, 0.5196)